1.
VZn2N3: simulated XRD peak list (Cu Kα, 1.54184 Å), based on DFT lattice parameters and positions (GGA-PBE).

```
data_VZn2N3
_cell_length_a 9.5872
_cell_length_b 5.6128
_cell_length_c 5.2919
_cell_angle_alpha 90.00
_cell_angle_beta 90.00
_cell_angle_gamma 90.00
_space_group_name_H-M_alt 'C m c 21'
_space_group_IT_number 36
_space_group_name_Hall 'C 2c -2'
loop_
_atom_site_label
_atom_site_fract_x
_atom_site_fract_y
_atom_site_fract_z
V1 0.0000 0.1620 0.0000
Zn1 0.1665 0.3357 0.5118
N1 0.0000 0.1449 0.3554
N2 0.1521 0.3193 0.8983
```

Most intense lines, 5° ≤ 2θ ≤ 70°, most intense first:
two_theta  d [Å]  I_rel  h k l
36.5  2.459  100  3 1 1
33.9  2.646  58  0 0 2
36.2  2.479  56  0 2 1
32.2  2.777  49  3 1 0
62.4  1.489  31  3 1 3
57.0  1.615  31  3 3 0
68.0  1.378  27  3 3 2
47.5  1.916  22  3 1 2
31.9  2.806  22  0 2 0
62.2  1.493  17  0 2 3

2.
CePr2Br2N2: simulated XRD peak list (Cu Kα, 1.54184 Å), based on DFT lattice parameters and positions (GGA-PBE).

```
data_CePr2Br2N2
_cell_length_a 4.5435
_cell_length_b 4.5435
_cell_length_c 16.4453
_cell_angle_alpha 90.00
_cell_angle_beta 90.00
_cell_angle_gamma 90.00
_space_group_name_H-M_alt 'I 4/m m m'
_space_group_IT_number 139
_space_group_name_Hall '-I 4 2'
loop_
_atom_site_label
_atom_site_fract_x
_atom_site_fract_y
_atom_site_fract_z
Ce1 0.0000 0.0000 0.0000
Pr1 0.0000 0.0000 0.4063
Br1 0.0000 0.0000 0.1841
N1 0.0000 0.5000 0.0000
```

Most intense lines, 5° ≤ 2θ ≤ 70°, most intense first:
two_theta  d [Å]  I_rel  h k l
33.6  2.664  100  1 0 5
27.8  3.213  82  1 1 0
53.0  1.729  55  2 1 5
39.7  2.272  38  2 0 0
10.8  8.223  33  0 0 2
64.9  1.437  15  3 1 0
68.2  1.376  13  3 0 5
57.4  1.606  13  2 2 0
63.6  1.464  11  1 1 10
43.4  2.087  10  1 0 7

3.
HoPa3S4: simulated XRD peak list (Cu Kα, 1.54184 Å), based on DFT lattice parameters and positions (GGA-PBE).

```
data_HoPa3S4
_cell_length_a 6.8928
_cell_length_b 7.7577
_cell_length_c 6.5928
_cell_angle_alpha 90.00
_cell_angle_beta 109.26
_cell_angle_gamma 90.00
_space_group_name_H-M_alt 'P 1 2/c 1'
_space_group_IT_number 13
_space_group_name_Hall '-P 2yc'
loop_
_atom_site_label
_atom_site_fract_x
_atom_site_fract_y
_atom_site_fract_z
Ho1 0.0000 0.1247 0.2500
Pa1 0.0000 0.3781 0.7500
Pa2 0.5000 0.1259 0.7500
Pa3 0.5000 0.3773 0.2500
S1 0.2453 0.1239 0.9992
S2 0.2467 0.3715 0.4979
```

Most intense lines, 5° ≤ 2θ ≤ 70°, most intense first:
two_theta  d [Å]  I_rel  h k l
32.6  2.749  100  1 2 1
28.2  3.168  50  1 2 -1
27.4  3.254  27  2 0 0
45.9  1.977  26  3 2 -1
28.7  3.112  24  0 0 2
47.6  1.912  23  1 2 -3
58.2  1.584  13  2 4 -2
46.6  1.950  12  2 0 2
46.8  1.939  12  0 4 0
56.6  1.627  11  4 0 0

4.
Na8In6Sn: simulated XRD peak list (Cu Kα, 1.54184 Å), based on DFT lattice parameters and positions (GGA-PBE).

```
data_Na8In6Sn
_cell_length_a 9.0432
_cell_length_b 9.0432
_cell_length_c 19.9224
_cell_angle_alpha 90.00
_cell_angle_beta 90.00
_cell_angle_gamma 120.00
_space_group_name_H-M_alt 'R -3'
_space_group_IT_number 148
_space_group_name_Hall '-R 3'
loop_
_atom_site_label
_atom_site_fract_x
_atom_site_fract_y
_atom_site_fract_z
Na1 0.0000 0.0000 0.1669
Na2 0.0007 0.3313 0.3795
In1 0.0000 0.3237 0.5445
Sn1 0.0000 0.0000 0.5000
```

Most intense lines, 5° ≤ 2θ ≤ 70°, most intense first:
two_theta  d [Å]  I_rel  h k l
33.5  2.676  100  2 -1 6
34.4  2.611  82  3 0 0
13.3  6.641  77  0 0 3
23.8  3.738  51  1 1 3
37.0  2.430  38  3 0 3
48.7  1.869  33  2 2 6
61.0  1.520  33  5 -1 6
19.6  4.522  21  1 1 0
45.6  1.988  18  2 -1 9
61.5  1.507  14  3 3 0

5.
PmAl2O4: simulated XRD peak list (Cu Kα, 1.54184 Å), based on DFT lattice parameters and positions (GGA-PBE).

```
data_PmAl2O4
_cell_length_a 5.0649
_cell_length_b 8.7063
_cell_length_c 8.1897
_cell_angle_alpha 90.00
_cell_angle_beta 90.00
_cell_angle_gamma 90.00
_space_group_name_H-M_alt 'C c c m'
_space_group_IT_number 66
_space_group_name_Hall '-C 2 2c'
loop_
_atom_site_label
_atom_site_fract_x
_atom_site_fract_y
_atom_site_fract_z
Pm1 0.0000 0.0000 0.2500
Al1 0.0031 0.2971 0.0000
O1 0.1851 0.1117 0.5000
O2 0.2500 0.2500 0.1562
```

Most intense lines, 5° ≤ 2θ ≤ 70°, most intense first:
two_theta  d [Å]  I_rel  h k l
29.9  2.987  100  0 2 2
20.3  4.378  68  1 1 0
47.1  1.930  32  2 2 2
35.7  2.518  27  1 3 0
49.1  1.854  18  1 1 4
60.6  1.528  15  1 5 2
58.1  1.589  13  1 3 4
42.1  2.145  13  1 3 2
60.2  1.536  12  3 1 2
47.3  1.922  10  0 4 2

6.
MnTl3Se3: simulated XRD peak list (Cu Kα, 1.54184 Å), based on DFT lattice parameters and positions (GGA-PBE).

```
data_MnTl3Se3
_cell_length_a 8.1119
_cell_length_b 13.1346
_cell_length_c 10.3263
_cell_angle_alpha 90.00
_cell_angle_beta 129.46
_cell_angle_gamma 90.00
_space_group_name_H-M_alt 'P 1 21/c 1'
_space_group_IT_number 14
_space_group_name_Hall '-P 2ybc'
loop_
_atom_site_label
_atom_site_fract_x
_atom_site_fract_y
_atom_site_fract_z
Mn1 0.0651 0.0579 0.1573
Tl1 0.0821 0.6645 0.9451
Tl2 0.3993 0.1459 0.0118
Tl3 0.4113 0.0818 0.6289
Se1 0.0938 0.6240 0.6221
Se2 0.1410 0.5495 0.2510
Se3 0.4147 0.1396 0.3345
```

Most intense lines, 5° ≤ 2θ ≤ 70°, most intense first:
two_theta  d [Å]  I_rel  h k l
29.3  3.046  100  2 1 0
27.7  3.218  84  2 1 -3
29.4  3.036  82  1 4 -1
30.2  2.963  74  1 2 -3
23.3  3.811  70  2 1 -2
36.5  2.462  65  3 2 -3
30.8  2.901  60  1 3 1
27.2  3.284  60  0 4 0
35.2  2.547  34  2 3 0
26.7  3.338  34  1 3 -2

7.
SbTe8Cl6O6F31: simulated XRD peak list (Cu Kα, 1.54184 Å), based on DFT lattice parameters and positions (GGA-PBE).

```
data_SbTe8Cl6O6F31
_cell_length_a 9.3120
_cell_length_b 10.5251
_cell_length_c 10.7869
_cell_angle_alpha 82.94
_cell_angle_beta 85.95
_cell_angle_gamma 75.17
_space_group_name_H-M_alt 'P -1'
_space_group_IT_number 2
_space_group_name_Hall '-P 1'
loop_
_atom_site_label
_atom_site_fract_x
_atom_site_fract_y
_atom_site_fract_z
Sb1 0.0000 0.0000 0.0000
Te1 0.1713 0.9724 0.2982
Te2 0.2304 0.2068 0.8440
Te3 0.2862 0.7294 0.8862
Te4 0.3376 0.4830 0.3626
Cl1 0.1594 0.5773 0.5071
Cl2 0.1668 0.4499 0.2273
Cl3 0.3940 0.2654 0.4488
O1 0.0545 0.1520 0.8952
O2 0.0819 0.0528 0.1466
O3 0.2014 0.8810 0.9675
F1 0.0027 0.0699 0.6309
F2 0.1142 0.1373 0.3601
F3 0.1195 0.6589 0.9066
F4 0.1284 0.3117 0.7085
F5 0.1715 0.3503 0.9392
F6 0.2257 0.8094 0.7269
F7 0.2360 0.8001 0.2477
F8 0.2610 0.9016 0.4503
F9 0.3019 0.0699 0.7421
F10 0.3445 0.1068 0.9748
F11 0.3535 0.0060 0.2401
F12 0.3586 0.6317 0.0363
F13 0.3859 0.5785 0.8056
F14 0.3958 0.2720 0.7860
F15 0.4642 0.7824 0.8592
F16 0.5000 0.5000 0.5000
```

Most intense lines, 5° ≤ 2θ ≤ 70°, most intense first:
two_theta  d [Å]  I_rel  h k l
19.0  4.681  100  1 0 2
11.4  7.763  97  1 1 0
23.2  3.834  91  -1 2 1
19.7  4.517  89  1 0 -2
18.7  4.748  77  1 2 1
20.2  4.391  59  0 2 -1
25.4  3.513  56  2 2 -1
19.7  4.497  54  2 0 0
20.7  4.300  49  1 2 -1
29.0  3.075  42  0 2 3

8.
HoAl9Cu2: simulated XRD peak list (Cu Kα, 1.54184 Å), based on DFT lattice parameters and positions (GGA-PBE).

```
data_HoAl9Cu2
_cell_length_a 10.6649
_cell_length_b 10.6649
_cell_length_c 7.0860
_cell_angle_alpha 90.00
_cell_angle_beta 90.00
_cell_angle_gamma 90.00
_space_group_name_H-M_alt 'I 41/a m d'
_space_group_IT_number 141
loop_
_space_group_symop_operation_xyz
'x,y,z'
'-x,-y,-z'
'-y+1/4,x+3/4,z+1/4'
'y+1/4,-x+3/4,-z+1/4'
'-x+1/2,-y,z+1/2'
'x+1/2,y,-z+1/2'
'y+1/4,-x+1/4,z+3/4'
'-y+1/4,x+1/4,-z+3/4'
'x,-y,-z'
'-x,y,z'
'-y+1/4,-x+1/4,-z+3/4'
'y+1/4,x+1/4,z+3/4'
'-x+1/2,y,-z+1/2'
'x+1/2,-y,z+1/2'
'y+1/4,x+3/4,-z+1/4'
'-y+1/4,-x+3/4,z+1/4'
'x+1/2,y+1/2,z+1/2'
'-x+1/2,-y+1/2,-z+1/2'
'-y+3/4,x+1/4,z+3/4'
'y+3/4,-x+1/4,-z+3/4'
'-x,-y+1/2,z'
'x,y+1/2,-z'
'y+3/4,-x+3/4,z+1/4'
'-y+3/4,x+3/4,-z+1/4'
'x+1/2,-y+1/2,-z+1/2'
'-x+1/2,y+1/2,z+1/2'
'-y+3/4,-x+3/4,-z+1/4'
'y+3/4,x+3/4,z+1/4'
'-x,y+1/2,-z'
'x,-y+1/2,z'
'y+3/4,x+1/4,-z+3/4'
'-y+3/4,-x+1/4,z+3/4'
loop_
_atom_site_label
_atom_site_fract_x
_atom_site_fract_y
_atom_site_fract_z
Ho1 0.0000 0.2500 0.3750
Al1 0.0000 0.2500 0.8750
Al2 0.1227 0.0499 0.6812
Cu1 0.0000 0.0000 0.0000
```

Most intense lines, 5° ≤ 2θ ≤ 70°, most intense first:
two_theta  d [Å]  I_rel  h k l
22.5  3.957  100  2 1 1
36.8  2.443  98  3 1 2
32.8  2.730  77  3 2 1
37.7  2.385  55  4 2 0
39.1  2.306  40  1 0 3
27.8  3.207  37  1 1 2
33.6  2.666  31  4 0 0
45.9  1.978  30  4 2 2
16.6  5.332  27  2 0 0
47.7  1.907  26  5 2 1

9.
NaNd2Ni: simulated XRD peak list (Cu Kα, 1.54184 Å), based on DFT lattice parameters and positions (GGA-PBE).

```
data_NaNd2Ni
_cell_length_a 4.0828
_cell_length_b 4.0828
_cell_length_c 27.5948
_cell_angle_alpha 90.00
_cell_angle_beta 90.00
_cell_angle_gamma 120.00
_space_group_name_H-M_alt 'R 3 m'
_space_group_IT_number 160
_space_group_name_Hall 'R 3 -2"'
loop_
_atom_site_label
_atom_site_fract_x
_atom_site_fract_y
_atom_site_fract_z
Na1 0.0000 0.0000 0.0000
Nd1 0.0000 0.0000 0.5525
Nd2 0.0000 0.0000 0.7796
Ni1 0.0000 0.0000 0.1659
```

Most intense lines, 5° ≤ 2θ ≤ 70°, most intense first:
two_theta  d [Å]  I_rel  h k l
9.6  9.198  100  0 0 3
30.0  2.977  66  0 1 5
28.4  3.147  33  1 0 4
36.4  2.469  30  0 1 8
44.4  2.041  27  1 1 0
50.1  1.820  18  1 0 13
25.4  3.507  17  1 0 1
45.5  1.993  14  1 1 3
41.5  2.175  14  1 0 10
54.0  1.699  13  1 1 9

10.
Li3La4Bi8: simulated XRD peak list (Cu Kα, 1.54184 Å), based on DFT lattice parameters and positions (GGA-PBE).

```
data_Li3La4Bi8
_cell_length_a 4.6210
_cell_length_b 4.6210
_cell_length_c 20.8220
_cell_angle_alpha 90.00
_cell_angle_beta 90.00
_cell_angle_gamma 90.00
_space_group_name_H-M_alt 'P -4 m 2'
_space_group_IT_number 115
_space_group_name_Hall 'P -4 -2'
loop_
_atom_site_label
_atom_site_fract_x
_atom_site_fract_y
_atom_site_fract_z
Li1 0.0000 0.0000 0.0000
Li2 0.0000 0.0000 0.5000
Li3 0.5000 0.5000 0.0000
La1 0.0000 0.5000 0.1318
La2 0.0000 0.5000 0.6142
Bi1 0.0000 0.0000 0.2588
Bi2 0.0000 0.5000 0.4297
Bi3 0.0000 0.5000 0.9166
Bi4 0.5000 0.5000 0.2582
```

Most intense lines, 5° ≤ 2θ ≤ 70°, most intense first:
two_theta  d [Å]  I_rel  h k l
32.3  2.769  100  1 1 4
28.6  3.118  70  1 1 2
39.0  2.311  47  2 0 0
47.3  1.922  40  2 0 6
25.7  3.470  35  0 0 6
25.8  3.456  30  1 0 4
66.4  1.407  24  3 1 4
56.3  1.634  17  2 2 0
8.5  10.411  16  0 0 2
47.9  1.898  16  1 0 10

11.
TbYSi: simulated XRD peak list (Cu Kα, 1.54184 Å), based on DFT lattice parameters and positions (GGA-PBE).

```
data_TbYSi
_cell_length_a 12.7853
_cell_length_b 6.9338
_cell_length_c 5.7263
_cell_angle_alpha 90.00
_cell_angle_beta 90.00
_cell_angle_gamma 90.00
_space_group_name_H-M_alt 'P m n 21'
_space_group_IT_number 31
_space_group_name_Hall 'P 2ac -2'
loop_
_atom_site_label
_atom_site_fract_x
_atom_site_fract_y
_atom_site_fract_z
Tb1 0.0000 0.0792 0.0000
Tb2 0.1677 0.4387 0.7143
Y1 0.0000 0.5634 0.2146
Y2 0.1669 0.9242 0.5005
Si1 0.0000 0.2060 0.5124
Si2 0.1660 0.7971 0.0136
```

Most intense lines, 5° ≤ 2θ ≤ 70°, most intense first:
two_theta  d [Å]  I_rel  h k l
26.1  3.419  100  3 0 1
29.1  3.066  97  3 1 1
33.9  2.646  88  0 1 2
33.3  2.689  76  3 2 0
55.4  1.660  61  6 1 2
36.9  2.434  57  3 2 1
30.1  2.966  42  0 2 1
55.5  1.657  38  3 3 2
42.4  2.131  36  6 0 0
54.3  1.689  34  3 1 3